Starting from a crystal structure in OQMD, relaxed with PBE, the X-ray powder pattern of CuH4C4S2IN2 was simulated for copper Kα.

Cell and atoms:
```
data_CuH4C4S2IN2
_chemical_formula_sum 'Cu4 H16 C16 S8 I4 N8'
_symmetry_space_group_name_H-M 'P 1 21/c 1'
_symmetry_Int_Tables_number 14
_symmetry_space_group_name_Hall '-P 2ybc'
_cell_length_a 6.511
_cell_length_b 6.807
_cell_length_c 18.175
_cell_angle_alpha 90.00
_cell_angle_beta 93.20
_cell_angle_gamma 90.00
loop_
_atom_site_label
_atom_site_fract_x
_atom_site_fract_y
_atom_site_fract_z
Cu1 0.079 0.112 0.316
H1 0.152 0.153 0.566
H2 0.266 0.577 0.434
H3 0.309 0.010 0.810
H4 0.442 0.226 0.500
C1 0.246 0.228 0.166
C2 0.406 0.623 0.408
C3 0.415 0.125 0.205
C4 0.440 0.227 0.057
S1 0.029 0.210 0.707
S2 0.420 0.076 0.296
I1 0.071 0.748 0.569
N1 0.269 0.228 0.594
N2 0.426 0.570 0.336
```

The 10 most intense peaks (2θ from 5° to 70°), sorted by position:
13.6°, I = 726, hkl 1 0 0; 16.3°, I = 364, hkl 0 1 2; 21.6°, I = 1000, hkl 1 1 2; 26.2°, I = 229, hkl 0 2 0; 26.8°, I = 290, hkl 1 1 -4; 27.4°, I = 247, hkl 2 0 0; 27.9°, I = 321, hkl 1 1 4; 29.6°, I = 327, hkl 1 2 0; 32.6°, I = 309, hkl 2 1 2; 44.7°, I = 218, hkl 0 3 4

Starting from a crystal structure in OQMD, relaxed with PBE, the X-ray powder pattern of CuH6C4N8 was simulated for copper Kα.

Cell and atoms:
```
data_CuH6C4N8
_chemical_formula_sum 'Cu2 H12 C8 N16'
_symmetry_space_group_name_H-M 'P 1 21/c 1'
_symmetry_Int_Tables_number 14
_symmetry_space_group_name_Hall '-P 2ybc'
_cell_length_a 6.621
_cell_length_b 9.552
_cell_length_c 6.763
_cell_angle_alpha 90.00
_cell_angle_beta 111.57
_cell_angle_gamma 90.00
loop_
_atom_site_label
_atom_site_fract_x
_atom_site_fract_y
_atom_site_fract_z
Cu1 0.000 0.000 0.000
H1 0.308 0.191 0.112
H2 0.310 0.094 0.909
H3 0.400 0.026 0.152
C1 0.139 0.710 0.912
C2 0.266 0.012 0.528
N1 0.112 0.667 0.402
N2 0.153 0.577 0.889
N3 0.286 0.091 0.051
N4 0.363 0.104 0.642
```

The 10 most intense peaks (2θ from 5° to 70°), sorted by position:
14.4°, I = 792, hkl 1 0 0; 16.9°, I = 268, hkl 0 1 1; 18.6°, I = 1000, hkl 0 2 0; 25.4°, I = 218, hkl 1 1 1; 28.4°, I = 365, hkl 0 0 2; 28.8°, I = 391, hkl 2 1 -1; 29.9°, I = 235, hkl 0 1 2; 30.5°, I = 230, hkl 2 1 0; 32.4°, I = 201, hkl 2 0 -2; 32.7°, I = 193, hkl 1 2 -2

Starting from a crystal structure in OQMD, relaxed with PBE, the X-ray powder pattern of CuH6C8N8 was simulated for copper Kα.

Cell and atoms:
```
data_CuH6C8N8
_chemical_formula_sum 'Cu4 H24 C32 N32'
_symmetry_space_group_name_H-M 'C 1 2/c 1'
_symmetry_Int_Tables_number 15
_symmetry_space_group_name_Hall '-C 2yc'
_cell_length_a 12.639
_cell_length_b 7.370
_cell_length_c 11.685
_cell_angle_alpha 90.00
_cell_angle_beta 93.92
_cell_angle_gamma 90.00
loop_
_atom_site_label
_atom_site_fract_x
_atom_site_fract_y
_atom_site_fract_z
Cu1 0.000 0.000 0.000
H1 0.003 0.316 0.405
H2 0.102 0.195 0.152
H3 0.106 0.299 0.024
C1 0.135 0.267 0.650
C2 0.154 0.465 0.813
C3 0.191 0.402 0.710
C4 0.216 0.034 0.334
N1 0.059 0.230 0.078
N2 0.092 0.146 0.602
N3 0.121 0.485 0.399
N4 0.137 0.017 0.870
```

The 10 most intense peaks (2θ from 5° to 70°), sorted by position:
13.9°, I = 942, hkl 1 1 0; 20.0°, I = 662, hkl 2 0 -2; 20.3°, I = 461, hkl 1 1 -2; 21.0°, I = 669, hkl 1 1 2; 21.5°, I = 649, hkl 2 0 2; 24.2°, I = 371, hkl 0 2 0; 24.4°, I = 469, hkl 3 1 0; 28.1°, I = 415, hkl 3 1 -2; 32.5°, I = 1000, hkl 2 2 2; 40.7°, I = 408, hkl 4 0 -4

Starting from a crystal structure in OQMD, relaxed with PBE, the X-ray powder pattern of CuH6C4N8 was simulated for copper Kα.

Cell and atoms:
```
data_CuH6C4N8
_chemical_formula_sum 'Cu2 H12 C8 N16'
_symmetry_space_group_name_H-M 'P -1'
_symmetry_Int_Tables_number 2
_symmetry_space_group_name_Hall '-P 1'
_cell_length_a 7.121
_cell_length_b 7.144
_cell_length_c 8.738
_cell_angle_alpha 68.91
_cell_angle_beta 78.49
_cell_angle_gamma 69.44
loop_
_atom_site_label
_atom_site_fract_x
_atom_site_fract_y
_atom_site_fract_z
Cu1 0.209 0.227 0.314
H1 0.084 0.817 0.782
H2 0.131 0.848 0.580
H3 0.162 0.611 0.714
H4 0.418 0.809 0.776
H5 0.466 0.828 0.575
H6 0.471 0.403 0.281
C1 0.043 0.271 0.659
C2 0.143 0.759 0.088
C3 0.339 0.289 0.941
C4 0.458 0.775 0.290
N1 0.067 0.656 0.227
N2 0.072 0.765 0.690
N3 0.151 0.224 0.548
N4 0.221 0.833 0.959
N5 0.255 0.269 0.073
N6 0.337 0.863 0.376
N7 0.408 0.342 0.788
N8 0.480 0.248 0.311
```

The 10 most intense peaks (2θ from 5° to 70°), sorted by position:
14.7°, I = 321, hkl 0 1 1; 16.1°, I = 413, hkl 1 1 0; 16.5°, I = 488, hkl 1 0 1; 17.9°, I = 202, hkl 1 0 -1; 21.9°, I = 416, hkl 0 0 2; 22.1°, I = 198, hkl 1 -1 0; 25.7°, I = 668, hkl 2 1 1; 28.1°, I = 1000, hkl 0 2 0; 33.1°, I = 210, hkl 0 0 3; 40.6°, I = 251, hkl 3 1 2